# 1
Theoretical X-ray powder pattern of Pm2Pr3Te5 for CuKα, from a structure optimized by DFT (PBE).
Lines closer than 0.1° are merged.

Structure:
Unit cell a=8.4080 b=8.4080 c=11.4846 alpha=124.31 beta=124.31 gamma=29.50
Fractional coordinates of all 10 atoms:
Pm (0.1522, 0.1522, 0.2461)
Pm (0.8478, 0.8478, 0.7539)
Pr (0.0000, 0.0000, 0.5000)
Pr (0.3807, 0.3807, 0.1316)
Pr (0.6193, 0.6193, 0.8684)
Te (0.2190, 0.2190, 0.7894)
Te (0.3844, 0.3844, 0.5766)
Te (0.5000, 0.5000, 0.0000)
Te (0.6156, 0.6156, 0.4234)
Te (0.7810, 0.7810, 0.2106)

The 10 most intense peaks (15° ≤ 2θ ≤ 90°), low angle first:
| d_spacing | two_theta | Rel. int. |
| --- | --- | --- |
| 3.239 | 27.54 | 100 |
| 3.062 | 29.17 | 55 |
| 2.836 | 31.55 | 31 |
| 2.827 | 31.65 | 19 |
| 2.618 | 34.26 | 26 |
| 2.485 | 36.15 | 28 |
| 2.477 | 36.27 | 22 |
| 2.202 | 40.98 | 23 |
| 2.141 | 42.21 | 30 |
| 1.754 | 52.13 | 21 |

---

# 2
Theoretical X-ray powder pattern of Cs2K8Na3 for CuKα, from a structure optimized by DFT (PBE).
Lines closer than 0.1° are merged.

Structure:
Unit cell a=11.4907 b=6.4168 c=14.7526 alpha=90.00 beta=112.17 gamma=90.00
Fractional coordinates of all 13 atoms:
Cs (0.2338, 0.0000, 0.4756)
Cs (0.7662, 0.0000, 0.5244)
K (0.0815, 0.5000, 0.1620)
K (0.1522, 0.0000, 0.8199)
K (0.3385, 0.0000, 0.1871)
K (0.3693, 0.5000, 0.7413)
K (0.6307, 0.5000, 0.2587)
K (0.6615, 0.0000, 0.8129)
K (0.8478, 0.0000, 0.1801)
K (0.9185, 0.5000, 0.8380)
Na (0.3310, 0.5000, 0.0015)
Na (0.5000, 0.0000, 0.0000)
Na (0.6690, 0.5000, 0.9985)

The 10 most intense peaks (15° ≤ 2θ ≤ 90°), low angle first:
| d_spacing | two_theta | Rel. int. |
| --- | --- | --- |
| 5.808 | 15.26 | 68 |
| 5.321 | 16.66 | 35 |
| 5.271 | 16.82 | 36 |
| 4.554 | 19.49 | 47 |
| 4.096 | 21.70 | 45 |
| 4.073 | 21.82 | 48 |
| 3.713 | 23.97 | 65 |
| 3.643 | 24.43 | 100 |
| 3.611 | 24.65 | 99 |
| 3.208 | 27.81 | 57 |

---

# 3
Theoretical X-ray powder pattern of K3CdAg6 for CuKα, from a structure optimized by DFT (PBE).
Lines closer than 0.1° are merged.

Structure:
Unit cell a=7.0505 b=7.0505 c=7.7673 alpha=113.35 beta=113.35 gamma=48.47
Fractional coordinates of all 10 atoms:
K (0.0000, 0.0000, 0.0000)
K (0.4758, 0.4758, 0.7239)
K (0.5242, 0.5242, 0.2761)
Cd (0.0000, 0.0000, 0.5000)
Ag (0.0174, 0.5262, 0.1971)
Ag (0.2068, 0.2068, 0.4566)
Ag (0.4738, 0.9826, 0.8029)
Ag (0.5262, 0.0174, 0.1971)
Ag (0.7932, 0.7932, 0.5434)
Ag (0.9826, 0.4738, 0.8029)

The 10 most intense peaks (15° ≤ 2θ ≤ 90°), low angle first:
| d_spacing | two_theta | Rel. int. |
| --- | --- | --- |
| 5.790 | 15.30 | 100 |
| 2.895 | 30.89 | 63 |
| 2.672 | 33.54 | 72 |
| 2.598 | 34.53 | 31 |
| 2.588 | 34.66 | 76 |
| 2.394 | 37.57 | 41 |
| 2.332 | 38.61 | 22 |
| 2.306 | 39.06 | 22 |
| 2.230 | 40.45 | 46 |
| 2.151 | 42.01 | 42 |

---

# 4
Theoretical X-ray powder pattern of InSn4Sb5 for CuKα, from a structure optimized by DFT (PBE).
Lines closer than 0.1° are merged.

Structure:
Unit cell a=23.3224 b=23.3224 c=23.3224 alpha=11.10 beta=11.10 gamma=11.10
Fractional coordinates of all 10 atoms:
In (0.0000, 0.0000, 0.0000)
Sn (0.1957, 0.1957, 0.1957)
Sn (0.3899, 0.3899, 0.3899)
Sn (0.6060, 0.6060, 0.6060)
Sn (0.8014, 0.8014, 0.8014)
Sb (0.1545, 0.1545, 0.1545)
Sb (0.3489, 0.3489, 0.3489)
Sb (0.5476, 0.5476, 0.5476)
Sb (0.7418, 0.7418, 0.7418)
Sb (0.9592, 0.9592, 0.9592)

The 10 most intense peaks (15° ≤ 2θ ≤ 90°), low angle first:
| d_spacing | two_theta | Rel. int. |
| --- | --- | --- |
| 4.635 | 19.15 | 34 |
| 3.760 | 23.66 | 100 |
| 2.597 | 34.54 | 43 |
| 2.265 | 39.79 | 13 |
| 2.255 | 39.99 | 50 |
| 2.207 | 40.90 | 16 |
| 2.028 | 44.69 | 23 |
| 1.945 | 46.70 | 18 |
| 1.933 | 47.00 | 18 |
| 1.468 | 63.38 | 17 |

---

# 5
Theoretical X-ray powder pattern of Tb7Nd4Tl for CuKα, from a structure optimized by DFT (PBE).
Lines closer than 0.1° are merged.

Structure:
Unit cell a=4.5988 b=4.5988 c=22.9138 alpha=90.00 beta=90.00 gamma=120.00
Fractional coordinates of all 12 atoms:
Tb (0.0000, 0.0000, 0.0000)
Tb (0.0000, 0.0000, 0.2557)
Tb (0.0000, 0.0000, 0.7443)
Tb (0.3333, 0.6667, 0.1752)
Tb (0.3333, 0.6667, 0.4385)
Tb (0.6667, 0.3333, 0.5615)
Tb (0.6667, 0.3333, 0.8248)
Nd (0.3333, 0.6667, 0.6580)
Nd (0.3333, 0.6667, 0.9121)
Nd (0.6667, 0.3333, 0.0879)
Nd (0.6667, 0.3333, 0.3420)
Tl (0.0000, 0.0000, 0.5000)

The 10 most intense peaks (15° ≤ 2θ ≤ 90°), low angle first:
| d_spacing | two_theta | Rel. int. |
| --- | --- | --- |
| 3.270 | 27.27 | 100 |
| 2.529 | 35.50 | 5 |
| 2.325 | 38.72 | 34 |
| 2.299 | 39.18 | 41 |
| 1.881 | 48.39 | 21 |
| 1.635 | 56.26 | 11 |
| 1.469 | 63.31 | 11 |
| 1.456 | 63.95 | 18 |
| 1.333 | 70.70 | 12 |
| 1.328 | 71.00 | 7 |

---

# 6
Theoretical X-ray powder pattern of PuCdAg2O4 for CuKα, from a structure optimized by DFT (PBE).
Lines closer than 0.1° are merged.

Structure:
Unit cell a=4.4292 b=4.6198 c=11.7216 alpha=90.00 beta=90.00 gamma=90.00
Fractional coordinates of all 16 atoms:
Pu (0.0000, 0.0000, 0.0000)
Pu (0.5000, 0.5000, 0.5000)
Cd (0.0000, 0.5000, 0.2305)
Cd (0.5000, 0.0000, 0.7305)
Ag (0.0000, 0.0000, 0.4306)
Ag (0.0000, 0.5000, 0.7696)
Ag (0.5000, 0.0000, 0.2696)
Ag (0.5000, 0.5000, 0.9306)
O (0.0000, 0.0000, 0.1844)
O (0.0000, 0.0000, 0.8079)
O (0.0000, 0.5000, 0.0259)
O (0.0000, 0.5000, 0.4840)
O (0.5000, 0.0000, 0.5259)
O (0.5000, 0.0000, 0.9840)
O (0.5000, 0.5000, 0.3079)
O (0.5000, 0.5000, 0.6844)

The 10 most intense peaks (15° ≤ 2θ ≤ 90°), low angle first:
| d_spacing | two_theta | Rel. int. |
| --- | --- | --- |
| 4.143 | 21.45 | 19 |
| 2.983 | 29.95 | 19 |
| 2.930 | 30.51 | 31 |
| 2.807 | 31.88 | 100 |
| 2.310 | 38.99 | 26 |
| 2.215 | 40.74 | 23 |
| 2.072 | 43.69 | 22 |
| 1.814 | 50.30 | 15 |
| 1.599 | 57.67 | 16 |
| 1.542 | 59.98 | 17 |

---

# 7
Theoretical X-ray powder pattern of Ce3SnIr8 for CuKα, from a structure optimized by DFT (PBE).
Lines closer than 0.1° are merged.

Structure:
Unit cell a=9.3058 b=9.3058 c=9.3058 alpha=33.64 beta=33.64 gamma=33.64
Fractional coordinates of all 12 atoms:
Ce (0.0000, 0.0000, 0.0000)
Ce (0.1272, 0.1272, 0.1272)
Ce (0.5081, 0.5081, 0.5081)
Sn (0.6328, 0.6328, 0.6328)
Ir (0.0657, 0.0657, 0.5627)
Ir (0.0657, 0.5627, 0.0657)
Ir (0.0658, 0.5655, 0.5655)
Ir (0.3145, 0.3145, 0.3145)
Ir (0.5627, 0.0657, 0.0657)
Ir (0.5655, 0.0658, 0.5655)
Ir (0.5655, 0.5655, 0.0658)
Ir (0.8149, 0.8149, 0.8149)

The 10 most intense peaks (15° ≤ 2θ ≤ 90°), low angle first:
| d_spacing | two_theta | Rel. int. |
| --- | --- | --- |
| 4.393 | 20.21 | 19 |
| 2.690 | 33.30 | 17 |
| 2.294 | 39.27 | 100 |
| 2.198 | 41.07 | 39 |
| 2.193 | 41.17 | 13 |
| 1.902 | 47.81 | 11 |
| 1.465 | 63.52 | 31 |
| 1.346 | 69.86 | 15 |
| 1.344 | 70.00 | 15 |
| 1.148 | 84.41 | 16 |

---

# 8
Theoretical X-ray powder pattern of Ca3Ag5 for CuKα, from a structure optimized by DFT (PBE).
Lines closer than 0.1° are merged.

Structure:
Unit cell a=5.8739 b=8.5194 c=8.6014 alpha=83.32 beta=70.04 gamma=70.08
Fractional coordinates of all 16 atoms:
Ca (0.0000, 0.0000, 0.0000)
Ca (0.0739, 0.5000, 0.8502)
Ca (0.1507, 0.3486, 0.3495)
Ca (0.4958, 0.6514, 0.3495)
Ca (0.5757, 0.5000, 0.8466)
Ca (0.6503, 0.0000, 0.6992)
Ag (0.0733, 0.0012, 0.3495)
Ag (0.0740, 0.6781, 0.1681)
Ag (0.0748, 0.1816, 0.6704)
Ag (0.2545, 0.8185, 0.6704)
Ag (0.3959, 0.1819, 0.0283)
Ag (0.5743, 0.3206, 0.5288)
Ag (0.5751, 0.9987, 0.3494)
Ag (0.5758, 0.8181, 0.0283)
Ag (0.7538, 0.3220, 0.1681)
Ag (0.8930, 0.6794, 0.5288)

The 10 most intense peaks (15° ≤ 2θ ≤ 90°), low angle first:
| d_spacing | two_theta | Rel. int. |
| --- | --- | --- |
| 3.852 | 23.09 | 52 |
| 2.937 | 30.44 | 52 |
| 2.845 | 31.44 | 63 |
| 2.610 | 34.36 | 84 |
| 2.554 | 35.13 | 61 |
| 2.535 | 35.41 | 60 |
| 2.503 | 35.88 | 79 |
| 2.497 | 35.97 | 39 |
| 2.490 | 36.07 | 40 |
| 2.375 | 37.88 | 100 |

---

# 9
Theoretical X-ray powder pattern of K3ReN3 for CuKα, from a structure optimized by DFT (PBE).
Lines closer than 0.1° are merged.

Structure:
Unit cell a=7.5031 b=6.9233 c=11.0357 alpha=90.00 beta=95.24 gamma=90.00
Fractional coordinates of all 28 atoms:
K (0.0464, 0.1058, 0.1582)
K (0.0464, 0.3942, 0.6582)
K (0.3635, 0.1780, 0.9265)
K (0.3635, 0.3220, 0.4265)
K (0.3651, 0.6792, 0.8087)
K (0.3651, 0.8208, 0.3087)
K (0.6349, 0.1792, 0.6913)
K (0.6349, 0.3208, 0.1913)
K (0.6365, 0.6780, 0.5735)
K (0.6365, 0.8220, 0.0735)
K (0.9536, 0.6058, 0.3418)
K (0.9536, 0.8942, 0.8418)
Re (0.1521, 0.5774, 0.0639)
Re (0.1521, 0.9226, 0.5639)
Re (0.8479, 0.0774, 0.4361)
Re (0.8479, 0.4226, 0.9361)
N (0.1072, 0.0635, 0.4066)
N (0.1072, 0.4365, 0.9066)
N (0.2377, 0.6813, 0.5417)
N (0.2377, 0.8187, 0.0417)
N (0.2895, 0.0537, 0.6785)
N (0.2895, 0.4463, 0.1785)
N (0.7105, 0.5537, 0.8215)
N (0.7105, 0.9463, 0.3215)
N (0.7623, 0.1813, 0.9583)
N (0.7623, 0.3187, 0.4583)
N (0.8928, 0.5635, 0.0934)
N (0.8928, 0.9365, 0.5934)

The 10 most intense peaks (15° ≤ 2θ ≤ 90°), low angle first:
| d_spacing | two_theta | Rel. int. |
| --- | --- | --- |
| 5.858 | 15.12 | 100 |
| 5.495 | 16.13 | 32 |
| 4.723 | 18.79 | 55 |
| 4.633 | 19.16 | 38 |
| 3.063 | 29.16 | 50 |
| 2.990 | 29.89 | 62 |
| 2.966 | 30.13 | 34 |
| 2.927 | 30.54 | 29 |
| 2.553 | 35.15 | 40 |
| 2.333 | 38.59 | 19 |

---

# 10
Theoretical X-ray powder pattern of Rb3In4Hg2 for CuKα, from a structure optimized by DFT (PBE).
Lines closer than 0.1° are merged.

Structure:
Unit cell a=5.1465 b=7.3505 c=10.5510 alpha=98.55 beta=103.82 gamma=110.44
Fractional coordinates of all 9 atoms:
Rb (0.0000, 0.0000, 0.0000)
Rb (0.2521, 0.8694, 0.6367)
Rb (0.7479, 0.1306, 0.3633)
In (0.3506, 0.6255, 0.0723)
In (0.4677, 0.5645, 0.3726)
In (0.5323, 0.4355, 0.6274)
In (0.6494, 0.3745, 0.9277)
Hg (0.0682, 0.3796, 0.7570)
Hg (0.9318, 0.6204, 0.2430)

The 10 most intense peaks (15° ≤ 2θ ≤ 90°), low angle first:
| d_spacing | two_theta | Rel. int. |
| --- | --- | --- |
| 4.966 | 17.86 | 50 |
| 3.431 | 25.97 | 91 |
| 3.261 | 27.35 | 100 |
| 2.937 | 30.44 | 99 |
| 2.849 | 31.40 | 50 |
| 2.573 | 34.87 | 91 |
| 2.548 | 35.22 | 55 |
| 2.537 | 35.38 | 52 |
| 2.058 | 44.00 | 68 |
| 1.796 | 50.84 | 56 |

---

# 11
Theoretical X-ray powder pattern of TbPrYEr2 for CuKα, from a structure optimized by DFT (PBE).
Lines closer than 0.1° are merged.

Structure:
Unit cell a=7.1216 b=7.1216 c=7.2053 alpha=90.00 beta=90.00 gamma=107.97
Fractional coordinates of all 10 atoms:
Tb (0.0101, 0.9899, 0.7500)
Tb (0.9899, 0.0101, 0.2500)
Pr (0.2777, 0.7223, 0.7500)
Pr (0.7223, 0.2777, 0.2500)
Y (0.2720, 0.7280, 0.2500)
Y (0.7280, 0.2720, 0.7500)
Er (0.3108, 0.3108, 0.0000)
Er (0.3108, 0.3108, 0.5000)
Er (0.6892, 0.6892, 0.0000)
Er (0.6892, 0.6892, 0.5000)

The 10 most intense peaks (15° ≤ 2θ ≤ 90°), low angle first:
| d_spacing | two_theta | Rel. int. |
| --- | --- | --- |
| 5.760 | 15.38 | 54 |
| 3.387 | 26.31 | 41 |
| 3.181 | 28.05 | 45 |
| 3.054 | 29.24 | 53 |
| 2.880 | 31.05 | 65 |
| 2.731 | 32.79 | 100 |
| 2.713 | 33.02 | 44 |
| 2.507 | 35.82 | 59 |
| 2.258 | 39.93 | 49 |
| 1.982 | 45.79 | 67 |

---

# 12
Theoretical X-ray powder pattern of Pm4InPt2 for CuKα, from a structure optimized by DFT (PBE).
Lines closer than 0.1° are merged.

Structure:
Unit cell a=9.5873 b=8.5199 c=7.9314 alpha=71.19 beta=57.27 gamma=51.54
Fractional coordinates of all 14 atoms:
Pm (0.1390, 0.2722, 0.3148)
Pm (0.2260, 0.6852, 0.7278)
Pm (0.2722, 0.1390, 0.7740)
Pm (0.3148, 0.7740, 0.1390)
Pm (0.6852, 0.2260, 0.8610)
Pm (0.7278, 0.8610, 0.2260)
Pm (0.7740, 0.3148, 0.2722)
Pm (0.8610, 0.7278, 0.6852)
In (0.3750, 0.3750, 0.3750)
In (0.6250, 0.6250, 0.6250)
Pt (0.0000, 0.0000, 0.0000)
Pt (0.0000, 0.0000, 0.5000)
Pt (0.0000, 0.5000, 0.0000)
Pt (0.5000, 0.0000, 0.0000)

The 10 most intense peaks (15° ≤ 2θ ≤ 90°), low angle first:
| d_spacing | two_theta | Rel. int. |
| --- | --- | --- |
| 4.767 | 18.61 | 22 |
| 3.564 | 24.99 | 34 |
| 3.206 | 27.83 | 54 |
| 2.958 | 30.21 | 100 |
| 2.667 | 33.60 | 66 |
| 2.478 | 36.25 | 23 |
| 2.437 | 36.89 | 35 |
| 2.383 | 37.74 | 44 |
| 1.887 | 48.23 | 35 |
| 1.868 | 48.75 | 23 |